Simulated powder diffraction line list of Ca2ZnCd6Pd for Cu Kα (weighted mean of Kα1 and Kα2), from the GGA-PBE geometry in Alexandria.
Lines closer than 0.1° are merged.

Top 6 peaks for 5° ≤ 2θ ≤ 70°, in order of rising 2θ:
- 2θ 19.3, I = 48, hkl 0 1 5
- 2θ 30.7, I = 30, hkl 0 0 12
- 2θ 32.0, I = 70, hkl 2 0 5
- 2θ 34.4, I = 100, hkl 0 2 7
- 2θ 39.3, I = 54, hkl 1 2 2
- 2θ 51.8, I = 37, hkl 2 2 0

Structural model:
```
data_Ca2ZnCd6Pd
_chemical_formula_sum 'Ca12 Zn6 Cd36 Pd6'
_cell_length_a 7.0598
_cell_length_b 7.0598
_cell_length_c 34.9332
_cell_angle_alpha 90.00
_cell_angle_beta 90.00
_cell_angle_gamma 120.00
_space_group_name_H-M_alt 'R -3 m'
_space_group_IT_number 166
_space_group_name_Hall '-R 3 2"'
loop_
_atom_site_label
_atom_site_fract_x
_atom_site_fract_y
_atom_site_fract_z
_atom_site_occupancy
Ca1 0.0000 0.0000 0.1128 1
Ca2 0.0000 0.0000 0.2864 1
Zn1 0.0000 0.0000 0.4279 1
Cd1 0.0389 0.5194 0.2952 1
Cd2 0.0608 0.5304 0.8690 1
Pd1 0.0000 0.0000 0.0000 1
Pd2 0.0000 0.0000 0.5000 1
```